Record 1
Calculated powder diffraction line list
Compound: SmFe10Re2
Radiation: Cu Kα X-rays
Structure: the PBE geometry in the Materials Project
Neutral-atom scattering factors, no anomalous dispersion.

Atomic structure:
a b c (Å): 6.516 6.516 6.516
angles (deg): 137.71 98.82 96.14
Fractional coordinates of all 13 atoms:
Sm (0.000, 0.000, 0.000)
Fe (0.000, 0.000, 0.500)
Fe (0.000, 0.500, 0.000)
Fe (0.222, 0.500, 0.722)
Fe (0.233, 0.733, 0.500)
Fe (0.360, 0.000, 0.360)
Fe (0.500, 0.000, 0.000)
Fe (0.500, 0.500, 0.500)
Fe (0.640, 0.000, 0.640)
Fe (0.767, 0.267, 0.500)
Fe (0.778, 0.500, 0.278)
Re (0.358, 0.358, 0.000)
Re (0.642, 0.642, 0.000)

Most intense lines, 5 to 70 degrees two-theta, low angle first:
d = 6.075 Å, 2θ = 14.6°, rel. 29; d = 4.111 Å, 2θ = 21.6°, rel. 69; d = 2.746 Å, 2θ = 32.6°, rel. 42; d = 2.470 Å, 2θ = 36.4°, rel. 56; d = 2.422 Å, 2θ = 37.1°, rel. 63; d = 2.350 Å, 2θ = 38.3°, rel. 37; d = 2.134 Å, 2θ = 42.4°, rel. 100; d = 2.118 Å, 2θ = 42.7°, rel. 81; d = 2.056 Å, 2θ = 44.1°, rel. 66; d = 1.924 Å, 2θ = 47.2°, rel. 30



Record 2
Calculated powder diffraction line list
Compound: TmFe10Re2
Radiation: Cu Kα X-rays
Structure: the PBE geometry in the Materials Project
Neutral-atom scattering factors, no anomalous dispersion.

Atomic structure:
a b c (Å): 6.463 6.463 6.463
angles (deg): 137.43 98.30 96.84
Fractional coordinates of all 13 atoms:
Tm (0.000, 0.000, 0.000)
Fe (0.000, 0.000, 0.500)
Fe (0.000, 0.500, 0.000)
Fe (0.219, 0.500, 0.719)
Fe (0.228, 0.728, 0.500)
Fe (0.358, 0.000, 0.358)
Fe (0.500, 0.000, 0.000)
Fe (0.500, 0.500, 0.500)
Fe (0.642, 0.000, 0.642)
Fe (0.772, 0.272, 0.500)
Fe (0.781, 0.500, 0.281)
Re (0.357, 0.357, 0.000)
Re (0.643, 0.643, 0.000)

Most intense lines, 5 to 70 degrees two-theta, low angle first:
d = 4.227 Å, 2θ = 21.0°, rel. 20; d = 4.104 Å, 2θ = 21.7°, rel. 52; d = 2.709 Å, 2θ = 33.1°, rel. 28; d = 2.442 Å, 2θ = 36.8°, rel. 39; d = 2.416 Å, 2θ = 37.2°, rel. 44; d = 2.346 Å, 2θ = 38.4°, rel. 25; d = 2.114 Å, 2θ = 42.8°, rel. 100; d = 2.105 Å, 2θ = 43.0°, rel. 23; d = 2.051 Å, 2θ = 44.1°, rel. 44; d = 2.007 Å, 2θ = 45.2°, rel. 18



Record 3
Calculated powder diffraction line list
Compound: YFe11Re
Radiation: Cu Kα X-rays
Structure: the PBE geometry in the Materials Project
Neutral-atom scattering factors, no anomalous dispersion.

Atomic structure:
a b c (Å): 6.457 6.457 6.457
angles (deg): 137.43 98.03 97.12
Fractional coordinates of all 13 atoms:
Y (0.000, 0.000, 0.000)
Fe (0.218, 0.493, 0.724)
Fe (0.223, 0.723, 0.500)
Fe (0.353, 0.994, 0.359)
Fe (0.355, 0.355, 0.000)
Fe (0.495, 0.495, 0.499)
Fe (0.495, 0.995, 0.000)
Fe (0.635, 0.994, 0.641)
Fe (0.766, 0.266, 0.500)
Fe (0.769, 0.493, 0.276)
Fe (0.996, 0.495, 0.000)
Fe (0.996, 0.995, 0.501)
Re (0.633, 0.633, 0.000)

Most intense lines, 5 to 70 degrees two-theta, low angle first:
d = 6.017 Å, 2θ = 14.7°, rel. 62; d = 4.106 Å, 2θ = 21.6°, rel. 38; d = 2.435 Å, 2θ = 36.9°, rel. 42; d = 2.419 Å, 2θ = 37.2°, rel. 47; d = 2.118 Å, 2θ = 42.7°, rel. 51; d = 2.111 Å, 2θ = 42.8°, rel. 86; d = 2.105 Å, 2θ = 43.0°, rel. 53; d = 2.052 Å, 2θ = 44.1°, rel. 100; d = 1.896 Å, 2θ = 48.0°, rel. 54; d = 1.849 Å, 2θ = 49.3°, rel. 59



Record 4
Calculated powder diffraction line list
Compound: ZrFeRe
Radiation: Cu Kα X-rays
Structure: the PBE geometry in the Materials Project
Neutral-atom scattering factors, no anomalous dispersion.

Atomic structure:
a b c (Å): 8.446 5.081 5.081
angles (deg): 61.29 90.00 90.00
Fractional coordinates of all 12 atoms:
Zr (0.181, 0.000, 0.000)
Zr (0.306, 0.668, 0.668)
Zr (0.694, 0.668, 0.668)
Zr (0.819, 0.000, 0.000)
Fe (0.000, 0.497, 0.988)
Fe (0.000, 0.988, 0.497)
Fe (0.238, 0.337, 0.337)
Fe (0.762, 0.337, 0.337)
Re (0.000, 0.498, 0.498)
Re (0.500, 0.165, 0.165)
Re (0.500, 0.166, 0.667)
Re (0.500, 0.667, 0.166)

Most intense lines, 5 to 70 degrees two-theta, low angle first:
d = 8.446 Å, 2θ = 10.5°, rel. 42; d = 4.223 Å, 2θ = 21.0°, rel. 42; d = 3.941 Å, 2θ = 22.6°, rel. 24; d = 2.380 Å, 2θ = 37.8°, rel. 65; d = 2.228 Å, 2θ = 40.5°, rel. 19; d = 2.177 Å, 2θ = 41.5°, rel. 73; d = 2.154 Å, 2θ = 41.9°, rel. 100; d = 2.114 Å, 2θ = 42.8°, rel. 73; d = 1.971 Å, 2θ = 46.1°, rel. 20; d = 1.346 Å, 2θ = 69.9°, rel. 31



Record 5
Calculated powder diffraction line list
Compound: Fe3Rh
Radiation: Cu Kα X-rays
Structure: the PBE geometry in the Materials Project
Neutral-atom scattering factors, no anomalous dispersion.

Atomic structure:
a b c (Å): 5.892 5.892 5.892
angles (deg): 90.00 90.00 90.00
Fractional coordinates of all 16 atoms:
Fe (0.000, 0.000, 0.000)
Fe (0.000, 0.500, 0.500)
Fe (0.250, 0.250, 0.250)
Fe (0.250, 0.250, 0.750)
Fe (0.250, 0.750, 0.250)
Fe (0.250, 0.750, 0.750)
Fe (0.500, 0.000, 0.500)
Fe (0.500, 0.500, 0.000)
Fe (0.750, 0.250, 0.250)
Fe (0.750, 0.250, 0.750)
Fe (0.750, 0.750, 0.250)
Fe (0.750, 0.750, 0.750)
Rh (0.000, 0.000, 0.500)
Rh (0.000, 0.500, 0.000)
Rh (0.500, 0.000, 0.000)
Rh (0.500, 0.500, 0.500)

Most intense lines, 5 to 70 degrees two-theta, low angle first:
d = 3.402 Å, 2θ = 26.2°, rel. 7; d = 2.946 Å, 2θ = 30.3°, rel. 4; d = 2.083 Å, 2θ = 43.4°, rel. 100; d = 1.777 Å, 2θ = 51.4°, rel. 4; d = 1.701 Å, 2θ = 53.9°, rel. 1; d = 1.473 Å, 2θ = 63.1°, rel. 15; d = 1.352 Å, 2θ = 69.5°, rel. 2



Record 6
Calculated powder diffraction line list
Compound: FeRh
Radiation: Cu Kα X-rays
Structure: the PBE geometry in the Materials Project
Neutral-atom scattering factors, no anomalous dispersion.

Atomic structure:
a b c (Å): 2.702 2.702 12.788
angles (deg): 90.00 90.00 120.00
Fractional coordinates of all 6 atoms:
Fe (0.000, 0.000, 0.000)
Fe (0.333, 0.667, 0.667)
Fe (0.667, 0.333, 0.333)
Rh (0.000, 0.000, 0.500)
Rh (0.333, 0.667, 0.167)
Rh (0.667, 0.333, 0.833)

Most intense lines, 5 to 70 degrees two-theta, low angle first:
d = 4.263 Å, 2θ = 20.8°, rel. 16; d = 2.302 Å, 2θ = 39.1°, rel. 9; d = 2.198 Å, 2θ = 41.1°, rel. 100; d = 2.131 Å, 2θ = 42.4°, rel. 30; d = 1.888 Å, 2θ = 48.2°, rel. 62; d = 1.727 Å, 2θ = 53.0°, rel. 4; d = 1.440 Å, 2θ = 64.7°, rel. 2; d = 1.421 Å, 2θ = 65.7°, rel. 1; d = 1.351 Å, 2θ = 69.6°, rel. 20



Record 7
Calculated powder diffraction line list
Compound: FeRh3
Radiation: Cu Kα X-rays
Structure: the PBE geometry in the Materials Project
Neutral-atom scattering factors, no anomalous dispersion.

Atomic structure:
a b c (Å): 5.432 5.432 4.359
angles (deg): 90.00 90.00 120.00
Fractional coordinates of all 8 atoms:
Fe (0.333, 0.667, 0.250)
Fe (0.667, 0.333, 0.750)
Rh (0.169, 0.337, 0.750)
Rh (0.169, 0.831, 0.750)
Rh (0.337, 0.169, 0.250)
Rh (0.663, 0.831, 0.750)
Rh (0.831, 0.169, 0.250)
Rh (0.831, 0.663, 0.250)

Most intense lines, 5 to 70 degrees two-theta, low angle first:
d = 4.704 Å, 2θ = 18.9°, rel. 1; d = 3.197 Å, 2θ = 27.9°, rel. 6; d = 2.716 Å, 2θ = 33.0°, rel. 2; d = 2.352 Å, 2θ = 38.3°, rel. 25; d = 2.179 Å, 2θ = 41.4°, rel. 26; d = 2.070 Å, 2θ = 43.7°, rel. 100; d = 1.700 Å, 2θ = 53.9°, rel. 1; d = 1.646 Å, 2θ = 55.8°, rel. 1; d = 1.599 Å, 2θ = 57.7°, rel. 14; d = 1.358 Å, 2θ = 69.2°, rel. 16



Record 8
Calculated powder diffraction line list
Compound: FeRh
Radiation: Cu Kα X-rays
Structure: the PBE geometry in the Materials Project
Neutral-atom scattering factors, no anomalous dispersion.

Atomic structure:
a b c (Å): 3.019 3.019 3.019
angles (deg): 90.00 90.00 90.00
Fractional coordinates of all 2 atoms:
Fe (0.000, 0.000, 0.000)
Rh (0.500, 0.500, 0.500)

Most intense lines, 5 to 70 degrees two-theta, low angle first:
d = 3.019 Å, 2θ = 29.6°, rel. 11; d = 2.135 Å, 2θ = 42.3°, rel. 100; d = 1.743 Å, 2θ = 52.5°, rel. 3; d = 1.509 Å, 2θ = 61.4°, rel. 16; d = 1.350 Å, 2θ = 69.6°, rel. 4